The following is a calculated powder XRD pattern of KCaVF6. It was derived from a GGA+U-relaxed structure, using Cu Kα (weighted mean of Kα1 and Kα2).

Largest 8 diffraction maxima, most intense first, 2θ from 5° to 70°:
| index | two_theta | d_spacing | intensity |
| --- | --- | --- | --- |
| 1 2 1 | 28.1 | 3.178 | 100 |
| 1 0 1 | 14.7 | 6.034 | 80 |
| 2 0 2 | 29.6 | 3.019 | 73 |
| 2 2 4 | 49.5 | 1.840 | 71 |
| 1 0 3 | 28.7 | 3.110 | 38 |
| 3 0 3 | 45.1 | 2.011 | 32 |
| 0 4 0 | 48.7 | 1.870 | 24 |
| 2 1 3 | 37.7 | 2.389 | 22 |

Structural model:
```
data_KCaVF6
_chemical_formula_sum 'K4 Ca4 V4 F24'
_space_group_name_H-M_alt 'I m m a'
_space_group_IT_number 74
_space_group_name_Hall '-I 2b 2'
_cell_length_a 7.454
_cell_length_b 7.480
_cell_length_c 10.266
_cell_angle_alpha 90.00
_cell_angle_beta 90.00
_cell_angle_gamma 90.00
loop_
_atom_site_label
_atom_site_type_symbol
_atom_site_fract_x
_atom_site_fract_y
_atom_site_fract_z
_atom_site_occupancy
K1 K 0.000 0.250 0.146 1
Ca1 Ca 0.250 0.250 0.750 1
V1 V 0.000 0.000 0.500 1
F1 F 0.000 0.250 0.576 1
F2 F 0.000 0.250 0.867 1
F3 F 0.185 0.033 0.369 1
```